# 1
Starting from a structure optimized by DFT (PBE), the PXRD pattern of Mg6TiCr was computed for copper Kα.

Cell and atoms:
Cell lengths 4.892, 6.291, 6.291 Å; angles 58.52, 90.00, 90.00 degrees
Fractional coordinates of all 8 atoms:
Mg 0.000 0.000 0.000
Mg 0.000 0.507 0.989
Mg 0.000 0.989 0.507
Mg 0.500 0.162 0.162
Mg 0.500 0.166 0.651
Mg 0.500 0.651 0.166
Ti 0.500 0.645 0.645
Cr 0.000 0.514 0.514

Most intense lines, 5° ≤ 2θ ≤ 70°, in order of falling intensity:
38.26 deg, I 100
37.58 deg, I 72
36.74 deg, I 44
33.40 deg, I 40
16.52 deg, I 27
50.49 deg, I 23
58.72 deg, I 17
67.18 deg, I 17
66.72 deg, I 12
16.15 deg, I 10


# 2
Starting from a structure optimized by DFT (PBE), the PXRD pattern of MgTlCr4 was computed for copper Kα.

Cell and atoms:
Cell lengths 4.988, 4.988, 4.988 Å; angles 60.00, 60.00, 60.00 degrees
Fractional coordinates of all 6 atoms:
Mg 0.000 0.000 0.000
Tl 0.750 0.750 0.750
Cr 0.374 0.374 0.374
Cr 0.374 0.374 0.878
Cr 0.374 0.878 0.374
Cr 0.878 0.374 0.374

Most intense lines, 5° ≤ 2θ ≤ 70°, in order of falling intensity:
42.50 deg, I 100
36.01 deg, I 47
21.82 deg, I 36
25.25 deg, I 36
69.21 deg, I 30
44.49 deg, I 26
64.74 deg, I 17
58.52 deg, I 14
56.90 deg, I 10


# 3
Starting from a structure optimized by DFT (PBE), the PXRD pattern of YMgCr was computed for copper Kα.

Cell and atoms:
Cell lengths 6.204, 6.204, 6.204 Å; angles 147.78, 147.78, 46.21 degrees
Fractional coordinates of all 3 atoms:
Y 0.000 0.000 0.000
Mg 0.292 0.292 0.000
Cr 0.658 0.658 0.000

Most intense lines, 5° ≤ 2θ ≤ 70°, in order of falling intensity:
35.15 deg, I 100
36.92 deg, I 47
65.38 deg, I 31
27.05 deg, I 25
15.53 deg, I 25
47.81 deg, I 17
53.20 deg, I 15
61.90 deg, I 14
40.27 deg, I 9
63.08 deg, I 7


# 4
Starting from a structure optimized by DFT (PBE), the PXRD pattern of Mg14ZnCr was computed for copper Kα.

Cell and atoms:
Cell lengths 10.238, 6.242, 6.242 Å; angles 60.21, 90.00, 90.00 degrees
Fractional coordinates of all 16 atoms:
Mg 0.000 0.000 0.000
Mg 0.000 0.498 0.998
Mg 0.000 0.500 0.500
Mg 0.000 0.998 0.498
Mg 0.254 0.333 0.333
Mg 0.254 0.834 0.834
Mg 0.264 0.329 0.830
Mg 0.264 0.830 0.329
Mg 0.500 0.002 0.504
Mg 0.500 0.504 0.002
Mg 0.736 0.329 0.830
Mg 0.736 0.830 0.329
Mg 0.746 0.333 0.333
Mg 0.746 0.834 0.834
Zn 0.500 0.499 0.499
Cr 0.500 0.998 0.998

Most intense lines, 5° ≤ 2θ ≤ 70°, in order of falling intensity:
37.60 deg, I 100
35.06 deg, I 26
8.64 deg, I 21
64.57 deg, I 18
33.07 deg, I 16
48.99 deg, I 16
59.21 deg, I 11
33.18 deg, I 9
18.57 deg, I 7
59.01 deg, I 6